Starting from a DFT-relaxed cell (PBE+U, Alexandria), the powder X-ray diffraction pattern of LiFe23O32 was calculated for a wavelength of 1.5418 Å.
Neutral-atom scattering factors, no anomalous dispersion.

Principal peaks in the range 2θ from 10° to 80°, sorted by position:
hkl, 2θ (°), I_rel
0 2 4, 29.49, 30.0
4 0 1, 34.74, 100.0
4 0 4, 42.20, 19.9
2 4 4, 52.32, 8.6
4 0 7, 55.75, 22.5
6 0 3, 55.79, 10.7
4 4 0, 61.21, 45.5
0 8 1, 72.38, 7.7

Structural model:
Cell: 12.1052 12.1052 14.8556 Å, 90.00 90.00 120.00°
Space group R-3m (No. 166, hexagonal axes)
Inequivalent atoms, fractional coordinates:
Li 0.0000 0.0000 0.0000 [3 per cell]
Fe 0.0000 0.0000 0.3699 [6 per cell]
Fe 0.0000 0.2472 0.5000 [18 per cell]
Fe 0.0000 0.5000 0.0000 [9 per cell]
Fe 0.0007 0.5003 0.3773 [18 per cell]
Fe 0.0837 0.1674 0.1623 [18 per cell]
O 0.0000 0.0000 0.2369 [6 per cell]
O 0.0067 0.5034 0.7524 [18 per cell]
O 0.0102 0.2502 0.2494 [36 per cell]
O 0.0812 0.1624 0.9092 [18 per cell]
O 0.0864 0.1728 0.4124 [18 per cell]